(1)
Diffraction record for Pr3NdSb3. The powder diffraction line list is calculated, not measured: it uses a DFT-relaxed cell (PBE, Alexandria) and Cu Kα.

Structure:
```
Pr3NdSb3
1.0
9.573 0.000 0.000
0.000 9.573 0.000
0.000 0.000 9.573
Pr Nd Sb
12 4 12
Cartesian
0.666 4.120 5.452
1.718 7.855 3.068
1.721 1.721 1.721
3.066 7.852 6.507
3.068 1.718 7.855
4.120 5.452 0.666
5.452 0.666 4.120
6.504 6.504 6.504
6.507 3.066 7.852
7.852 6.507 3.066
7.855 3.068 1.718
8.907 8.907 8.907
0.673 5.459 8.900
4.114 4.114 4.114
5.459 8.900 0.673
8.900 0.673 5.459
0.003 2.404 8.369
9.570 7.190 5.990
1.204 4.789 2.383
2.383 1.204 4.789
2.404 8.369 0.003
3.582 4.784 7.169
4.789 2.383 1.204
4.784 7.169 3.582
5.990 9.570 7.190
7.169 3.582 4.784
7.190 5.990 9.570
8.369 0.003 2.404
```

Principal peaks in the range 10° ≤ 2θ ≤ 90°, low angle first:
| 2θ (°) | d/Å | I/Imax |
| --- | --- | --- |
| 29.51 | 3.027 | 100.0 |
| 35.07 | 2.558 | 64.7 |
| 42.22 | 2.141 | 10.8 |
| 46.47 | 1.954 | 16.5 |
| 48.49 | 1.877 | 23.6 |
| 59.53 | 1.553 | 25.3 |
| 61.24 | 1.514 | 11.8 |
| 62.92 | 1.477 | 14.2 |
| 72.57 | 1.303 | 15.8 |
| 87.70 | 1.113 | 10.6 |


(2)
Diffraction record for U2RuC. The powder diffraction line list is calculated, not measured: it uses a DFT-relaxed cell (PBE, Alexandria) and Cu Kα.

Structure:
```
U2RuC
1.0
2.692 -1.703 0.000
2.692 1.703 0.000
-1.710 0.000 7.222
U Ru C
2 1 1
Cartesian
0.005 0.000 2.115
3.668 0.000 5.107
2.692 0.000 0.000
1.837 0.000 3.611
```

Principal peaks in the range 10° ≤ 2θ ≤ 90°, low angle first:
| 2θ (°) | d/Å | I/Imax |
| --- | --- | --- |
| 24.65 | 3.611 | 33.5 |
| 31.32 | 2.856 | 34.5 |
| 33.60 | 2.667 | 42.9 |
| 35.21 | 2.549 | 70.9 |
| 37.36 | 2.407 | 28.1 |
| 37.62 | 2.391 | 100.0 |
| 39.20 | 2.298 | 17.9 |
| 42.76 | 2.115 | 20.5 |
| 53.82 | 1.703 | 18.0 |
| 63.80 | 1.459 | 17.2 |


(3)
Diffraction record for Ac2Pm2Nd5. The powder diffraction line list is calculated, not measured: it uses a DFT-relaxed cell (PBE, Alexandria) and Cu Kα.

Structure:
```
Ac2Pm2Nd5
1.0
9.238 -1.840 0.000
9.238 1.840 0.000
-2.421 0.000 9.953
Ac Pm Nd
2 2 5
Cartesian
-0.195 0.000 1.822
16.251 0.000 8.131
4.625 0.000 5.933
11.431 0.000 4.019
1.288 0.000 7.027
3.861 0.000 9.703
8.028 0.000 4.976
12.195 0.000 0.249
14.768 0.000 2.926
```

Principal peaks in the range 10° ≤ 2θ ≤ 90°, low angle first:
| 2θ (°) | d/Å | I/Imax |
| --- | --- | --- |
| 26.69 | 3.340 | 52.3 |
| 28.47 | 3.135 | 35.9 |
| 29.46 | 3.032 | 100.0 |
| 29.86 | 2.993 | 99.3 |
| 30.87 | 2.896 | 87.9 |
| 31.32 | 2.856 | 99.6 |
| 34.53 | 2.597 | 54.5 |
| 36.53 | 2.460 | 38.0 |
| 50.24 | 1.816 | 35.5 |
| 51.23 | 1.783 | 32.2 |


(4)
Diffraction record for CsBe2F5. The powder diffraction line list is calculated, not measured: it uses a DFT-relaxed cell (PBE, Alexandria) and Cu Kα.

Structure:
```
CsBe2F5
1.0
8.044 0.000 0.000
0.000 8.044 0.000
0.000 0.000 8.044
Cs Be F
4 8 20
Cartesian
1.005 3.016 5.027
3.016 5.027 1.005
5.027 1.005 3.016
7.038 7.038 7.038
0.814 7.230 3.208
1.197 1.197 1.197
2.825 6.846 5.219
3.208 0.814 7.230
4.835 4.835 4.835
5.219 2.825 6.846
6.846 5.219 2.825
7.230 3.208 0.814
0.051 4.073 7.993
0.286 5.747 3.016
1.005 7.758 1.725
1.725 1.005 7.758
1.960 5.982 6.084
2.062 2.062 2.062
2.297 7.038 3.736
3.016 0.286 5.747
3.736 2.297 7.038
3.971 3.971 3.971
4.073 7.993 0.051
4.308 6.319 5.027
5.027 4.308 6.319
5.747 3.016 0.286
5.982 6.084 1.960
6.084 1.960 5.982
6.319 5.027 4.308
7.038 3.736 2.297
7.758 1.725 1.005
7.993 0.051 4.073
```

Principal peaks in the range 10° ≤ 2θ ≤ 90°, low angle first:
| 2θ (°) | d/Å | I/Imax |
| --- | --- | --- |
| 24.75 | 3.597 | 100.0 |
| 27.16 | 3.284 | 86.0 |
| 35.29 | 2.544 | 20.3 |
| 37.07 | 2.425 | 54.2 |
| 38.78 | 2.322 | 23.9 |
| 40.43 | 2.231 | 30.4 |
| 42.03 | 2.150 | 21.0 |
| 47.99 | 1.896 | 21.1 |
| 52.11 | 1.755 | 26.7 |
| 62.15 | 1.494 | 35.2 |


(5)
Diffraction record for Ge3Pd. The powder diffraction line list is calculated, not measured: it uses a DFT-relaxed cell (PBE, Alexandria) and Cu Kα.

Structure:
```
Ge3Pd
1.0
4.144 0.000 0.000
0.000 4.144 0.000
0.000 0.000 4.144
Ge Pd
3 1
Cartesian
0.000 0.000 2.072
0.000 2.072 0.000
2.072 0.000 0.000
2.072 2.072 2.072
```

Principal peaks in the range 10° ≤ 2θ ≤ 90°, low angle first:
| 2θ (°) | d/Å | I/Imax |
| --- | --- | --- |
| 21.44 | 4.144 | 3.2 |
| 30.51 | 2.930 | 2.6 |
| 37.59 | 2.393 | 100.0 |
| 43.69 | 2.072 | 48.8 |
| 49.16 | 1.853 | 1.3 |
| 54.22 | 1.692 | 1.0 |
| 63.49 | 1.465 | 31.3 |
| 67.85 | 1.381 | 0.6 |
| 76.19 | 1.249 | 36.5 |
| 80.25 | 1.196 | 10.6 |


(6)
Diffraction record for TmZr4Co2. The powder diffraction line list is calculated, not measured: it uses a DFT-relaxed cell (PBE, Alexandria) and Cu Kα.

Structure:
```
TmZr4Co2
1.0
6.673 0.000 0.000
0.000 6.004 0.000
-2.323 0.000 7.129
Tm Zr Co
2 8 4
Cartesian
0.927 1.501 0.236
3.423 4.503 6.893
-0.683 1.501 2.963
0.803 4.503 2.409
0.833 0.013 5.453
0.833 2.989 5.453
3.517 3.015 1.676
3.517 5.991 1.676
3.547 1.501 4.720
5.033 4.503 4.166
1.950 4.503 0.088
1.703 1.501 2.989
2.647 4.503 4.140
2.400 1.501 7.040
```

Principal peaks in the range 10° ≤ 2θ ≤ 90°, low angle first:
| 2θ (°) | d/Å | I/Imax |
| --- | --- | --- |
| 29.76 | 3.002 | 48.2 |
| 32.40 | 2.763 | 46.9 |
| 33.01 | 2.714 | 62.7 |
| 33.75 | 2.656 | 79.3 |
| 34.32 | 2.613 | 49.3 |
| 34.87 | 2.573 | 97.1 |
| 36.02 | 2.493 | 50.9 |
| 37.54 | 2.396 | 65.2 |
| 39.24 | 2.296 | 100.0 |
| 40.59 | 2.223 | 67.0 |


(7)
Diffraction record for Li2CaTa2O7. The powder diffraction line list is calculated, not measured: it uses a DFT-relaxed cell (PBE, Alexandria) and Cu Kα.

Structure:
```
Li2CaTa2O7
1.0
9.178 -2.780 0.000
9.178 2.780 0.000
0.000 0.000 5.585
Li Ca Ta O
4 2 4 14
Cartesian
4.346 0.000 0.000
4.346 0.000 2.793
14.009 0.000 0.000
14.009 0.000 2.793
9.178 1.385 4.189
9.178 -1.385 1.396
7.121 1.371 1.396
11.234 1.371 1.396
7.121 -1.371 4.189
11.234 -1.371 4.189
5.258 1.095 1.396
2.186 0.000 0.000
2.186 0.000 2.793
9.178 1.844 1.396
7.635 0.000 0.000
7.635 0.000 2.793
5.258 -1.095 4.189
13.097 1.095 1.396
10.721 0.000 0.000
10.721 0.000 2.793
9.178 -1.844 4.189
16.169 0.000 0.000
16.169 0.000 2.793
13.097 -1.095 4.189
```

Principal peaks in the range 10° ≤ 2θ ≤ 90°, low angle first:
| 2θ (°) | d/Å | I/Imax |
| --- | --- | --- |
| 19.34 | 4.589 | 53.1 |
| 23.09 | 3.852 | 100.0 |
| 26.91 | 3.313 | 58.9 |
| 32.05 | 2.793 | 24.0 |
| 32.20 | 2.780 | 21.7 |
| 33.36 | 2.686 | 67.9 |
| 46.07 | 1.970 | 31.9 |
| 50.39 | 1.811 | 43.7 |
| 57.97 | 1.591 | 14.7 |
| 58.16 | 1.586 | 16.4 |


(8)
Diffraction record for MgIn16Sn12. The powder diffraction line list is calculated, not measured: it uses a DFT-relaxed cell (PBE, Alexandria) and Cu Kα.

Structure:
```
MgIn16Sn12
1.0
5.842 -8.050 0.000
5.842 8.050 0.000
-5.831 0.000 8.610
Mg In Sn
1 16 12
Cartesian
0.000 0.000 0.000
2.001 5.414 2.881
-1.541 2.770 6.355
2.012 2.405 1.188
1.128 5.742 6.350
4.550 4.671 0.353
2.012 -2.405 1.188
4.525 3.319 3.796
-1.541 -2.770 6.355
2.509 0.000 3.460
0.482 0.000 6.451
2.001 -5.414 2.881
4.550 -4.671 0.353
5.728 0.000 4.066
8.393 0.000 0.798
4.525 -3.319 3.796
1.128 -5.742 6.350
-0.699 1.560 2.768
-2.863 0.000 4.626
-0.699 -1.560 2.768
-2.729 0.000 7.795
1.375 2.831 4.765
1.464 2.969 8.073
5.131 1.583 1.251
1.375 -2.831 4.765
5.131 -1.583 1.251
3.905 1.545 6.456
1.464 -2.969 8.073
3.905 -1.545 6.456
```

Principal peaks in the range 10° ≤ 2θ ≤ 90°, low angle first:
| 2θ (°) | d/Å | I/Imax |
| --- | --- | --- |
| 30.40 | 2.940 | 28.7 |
| 31.81 | 2.813 | 94.6 |
| 32.39 | 2.764 | 100.0 |
| 32.61 | 2.746 | 39.7 |
| 32.80 | 2.730 | 67.4 |
| 35.23 | 2.547 | 46.8 |
| 36.60 | 2.455 | 38.8 |
| 36.86 | 2.438 | 24.9 |
| 39.55 | 2.279 | 23.1 |
| 55.43 | 1.658 | 27.2 |


(9)
Diffraction record for Rb2CoIrBr6. The powder diffraction line list is calculated, not measured: it uses a DFT-relaxed cell (PBE, Alexandria) and Cu Kα.

Structure:
```
Rb2CoIrBr6
1.0
-3.713 3.713 5.154
3.713 -3.713 5.154
3.713 3.713 -5.154
Rb Co Ir Br
2 1 1 6
Cartesian
3.713 0.000 2.577
0.000 3.713 2.577
0.000 0.000 0.000
0.000 0.000 5.154
0.000 0.000 2.569
1.894 1.894 0.000
1.819 -1.819 5.154
-1.819 1.819 5.154
1.819 1.819 5.154
0.000 0.000 7.739
```

Principal peaks in the range 10° ≤ 2θ ≤ 90°, low angle first:
| 2θ (°) | d/Å | I/Imax |
| --- | --- | --- |
| 14.70 | 6.025 | 32.2 |
| 16.89 | 5.251 | 40.0 |
| 23.97 | 3.713 | 20.0 |
| 24.20 | 3.678 | 39.0 |
| 29.65 | 3.013 | 60.5 |
| 34.15 | 2.625 | 100.0 |
| 34.81 | 2.577 | 47.6 |
| 49.07 | 1.856 | 35.0 |
| 49.57 | 1.839 | 68.2 |
| 61.57 | 1.506 | 35.2 |


(10)
Diffraction record for TaBiP4O14. The powder diffraction line list is calculated, not measured: it uses a DFT-relaxed cell (PBE, Alexandria) and Cu Kα.

Structure:
```
TaBiP4O14
1.0
8.675 0.000 0.000
0.000 8.511 0.000
-0.140 0.000 8.531
Ta Bi P O
2 2 8 28
Cartesian
0.000 0.000 0.000
-0.070 4.256 4.266
4.268 0.000 4.266
4.337 4.256 0.000
0.719 0.985 3.299
0.650 3.271 7.564
3.178 5.008 3.402
3.108 7.759 7.668
5.427 0.753 0.864
5.357 3.503 5.129
7.885 5.241 0.967
7.816 7.526 5.233
-0.070 0.000 4.266
0.000 4.256 0.000
0.093 1.870 7.889
0.163 2.386 3.624
0.255 0.603 1.876
0.185 3.652 6.142
1.841 4.590 4.107
1.771 8.177 8.372
2.198 0.885 3.489
2.129 3.371 7.755
3.186 4.441 2.003
3.116 8.326 6.269
3.327 6.273 7.785
3.397 6.494 3.520
4.337 0.000 0.000
4.268 4.256 4.266
5.138 2.018 5.011
5.208 2.238 0.746
5.419 0.185 2.262
5.349 4.071 6.528
6.407 5.140 0.776
6.337 7.627 5.042
6.764 0.334 0.159
6.694 3.921 4.425
8.350 4.859 2.389
8.280 7.908 6.655
8.372 6.125 4.907
8.442 6.642 0.642
```

Principal peaks in the range 10° ≤ 2θ ≤ 90°, low angle first:
| 2θ (°) | d/Å | I/Imax |
| --- | --- | --- |
| 17.83 | 4.976 | 52.9 |
| 18.02 | 4.922 | 62.6 |
| 20.48 | 4.337 | 47.0 |
| 20.85 | 4.260 | 100.0 |
| 29.41 | 3.037 | 24.6 |
| 29.64 | 3.014 | 37.0 |
| 34.56 | 2.595 | 17.6 |
| 34.68 | 2.587 | 18.4 |
| 34.97 | 2.566 | 34.2 |
| 47.65 | 1.908 | 20.4 |


(11)
Diffraction record for Pu3PCl7. The powder diffraction line list is calculated, not measured: it uses a DFT-relaxed cell (PBE, Alexandria) and Cu Kα.

Structure:
```
Pu3PCl7
1.0
8.245 0.000 0.000
-4.122 7.140 0.000
0.000 0.000 6.478
Pu P Cl
3 1 7
Cartesian
-2.009 3.600 0.000
2.009 3.600 0.000
0.000 7.080 0.000
0.000 4.760 1.336
0.000 2.494 5.048
-1.962 5.893 5.048
2.204 1.272 1.402
1.962 5.893 5.048
4.122 2.380 4.975
6.041 1.272 1.402
4.122 4.595 1.402
```

Principal peaks in the range 10° ≤ 2θ ≤ 90°, low angle first:
| 2θ (°) | d/Å | I/Imax |
| --- | --- | --- |
| 12.40 | 7.140 | 39.4 |
| 13.67 | 6.478 | 100.0 |
| 18.49 | 4.798 | 29.9 |
| 24.94 | 3.570 | 39.6 |
| 28.55 | 3.127 | 95.8 |
| 37.49 | 2.399 | 63.8 |
| 43.93 | 2.061 | 27.1 |
| 46.22 | 1.964 | 28.8 |
| 49.32 | 1.848 | 27.0 |
| 53.23 | 1.721 | 17.1 |


What is the formula in the fifth record? Ge3Pd